Entry 1:
Simulated powder diffractogram
Compound: Mn4Cu3BiO12
Radiation: Cu Kα (λ = 1.5418 Å)
Structure: a cell relaxed with GGA+U

Largest 10 diffraction maxima, low angle first, 2θ from 10° to 90°:
2θ (°), I/Imax
16.78, 27
23.82, 10
29.28, 11
33.94, 100
38.09, 15
45.42, 16
48.76, 24
60.73, 47
71.43, 12
81.48, 17

```
Mn4Cu3BiO12
1.0
-3.736 3.736 3.736
3.736 -3.736 3.736
3.736 3.736 -3.736
Mn Cu Bi O
4 3 1 12
Cartesian
1.868 1.868 -1.868
1.868 -1.868 1.868
-1.868 1.868 1.868
1.868 1.868 1.868
3.736 0.000 0.000
0.000 3.736 0.000
0.000 0.000 3.736
0.000 0.000 0.000
3.736 2.461 -1.425
2.310 0.000 1.275
5.161 0.000 1.275
1.275 2.310 0.000
2.461 -1.425 3.736
0.000 1.275 2.310
3.736 2.461 1.425
1.275 5.161 0.000
2.461 1.425 3.736
-1.425 3.736 2.461
1.425 3.736 2.461
0.000 1.275 5.161
```

Entry 2:
Simulated powder diffractogram
Compound: MnCu2Bi2O6
Radiation: Cu Kα (λ = 1.5418 Å)
Structure: a cell relaxed with GGA+U

Largest 10 diffraction maxima, low angle first, 2θ from 10° to 90°:
2θ (°), I/Imax
17.56, 32
20.89, 18
30.13, 100
34.36, 68
35.08, 34
46.33, 33
53.50, 20
56.26, 38
62.63, 17
73.43, 15

```
MnCu2Bi2O6
1.0
2.967 1.713 5.050
-2.967 1.713 5.050
0.000 -3.425 5.050
Mn Cu Bi O
1 2 2 6
Cartesian
0.000 0.000 0.000
0.000 0.000 6.311
0.000 0.000 8.840
0.000 0.000 2.977
0.000 0.000 12.174
-1.658 -0.957 8.756
0.000 -1.915 6.395
-1.658 0.957 6.395
1.658 -0.957 8.756
0.000 1.915 8.756
1.658 0.957 6.395
```

Entry 3:
Simulated powder diffractogram
Compound: Mn2CuBiO8
Radiation: Cu Kα (λ = 1.5418 Å)
Structure: a cell relaxed with GGA+U

Largest 10 diffraction maxima, low angle first, 2θ from 10° to 90°:
2θ (°), I/Imax
17.85, 23
18.78, 47
25.34, 100
31.73, 21
33.37, 77
36.14, 21
41.03, 15
50.00, 60
52.04, 16
63.24, 17

```
Mn2CuBiO8
1.0
-3.515 3.515 3.191
3.515 -3.515 3.191
3.515 3.515 -3.191
Mn Cu Bi O
2 1 1 8
Cartesian
0.000 0.000 0.000
0.000 3.515 1.596
3.515 0.000 1.596
0.000 0.000 3.191
3.515 -2.179 2.100
3.515 1.293 -0.538
1.336 0.000 1.091
5.693 0.000 1.091
1.293 3.515 0.538
2.222 0.000 3.730
3.515 2.179 2.100
0.000 2.222 2.653
```

Question: Which formula does entry 1 have?
Answer: Mn4Cu3BiO12